[1]
Computed powder diffraction line list
Compound: Tb4Dy3Pu
Radiation: a wavelength of 1.5418 Å
Structure: DFT lattice parameters and positions (PBE)
Lines closer than 0.1° are merged.

Structural model:
Unit cell a=8.7649 b=8.7649 c=8.7649 alpha=157.49 beta=97.79 gamma=86.60
Atoms (fractional coordinates):
Tb (0.1162, 0.8683, 0.2479)
Tb (0.3795, 0.1317, 0.2479)
Tb (0.6205, 0.8683, 0.7521)
Tb (0.8838, 0.1317, 0.7521)
Dy (0.2366, 0.7366, 0.5000)
Dy (0.5000, 0.5000, 0.0000)
Dy (0.7634, 0.2634, 0.5000)
Pu (0.0000, 0.0000, 0.0000)

Principal peaks in the range 2θ from 15° to 90°, low angle first:
2θ 26.98, intensity 20
2θ 30.65, intensity 65
2θ 31.04, intensity 57
2θ 32.07, intensity 100
2θ 37.16, intensity 33
2θ 37.93, intensity 37
2θ 55.88, intensity 21
2θ 63.81, intensity 28

[2]
Computed powder diffraction line list
Compound: Dy4GeP2S
Radiation: a wavelength of 1.5418 Å
Structure: DFT lattice parameters and positions (PBE)
Lines closer than 0.1° are merged.

Structural model:
Unit cell a=6.9843 b=3.9920 c=6.9872 alpha=90.00 beta=109.21 gamma=90.00
Atoms (fractional coordinates):
Dy (0.2461, 0.0000, 0.2430)
Dy (0.2543, 0.5000, 0.7571)
Dy (0.7457, 0.5000, 0.2429)
Dy (0.7539, 0.0000, 0.7570)
Ge (0.0000, 0.0000, 0.5000)
P (0.0000, 0.5000, 0.0000)
P (0.5000, 0.0000, 0.0000)
S (0.5000, 0.5000, 0.5000)

Principal peaks in the range 2θ from 15° to 90°, low angle first:
2θ 27.03, intensity 32
2θ 27.28, intensity 32
2θ 31.46, intensity 100
2θ 44.80, intensity 12
2θ 45.07, intensity 49
2θ 53.27, intensity 16
2θ 55.74, intensity 13
2θ 56.29, intensity 13